# SrGa12Rh4
Theoretical powder X-ray diffraction pattern, Cu Kα. Input: a GGA-PBE-relaxed structure.
Peak positions follow from Bragg's law for the DFT cell and can differ from measured ones.

Structure:
```
SrGa12Rh4
1.0
-4.5976 4.5976 4.5976
4.5976 -4.5976 4.5976
4.5976 4.5976 -4.5976
Sr Ga Rh
1 12 4
Direct
0.0000 0.0000 0.0000
0.1068 0.7706 0.3362
0.2294 0.3362 0.5656
0.2294 0.6638 0.8932
0.3362 0.1068 0.7706
0.3362 0.5656 0.2294
0.4344 0.7706 0.6638
0.5656 0.2294 0.3362
0.6638 0.4344 0.7706
0.6638 0.8932 0.2294
0.7706 0.3362 0.1068
0.7706 0.6638 0.4344
0.8932 0.2294 0.6638
0.0000 0.0000 0.5000
0.0000 0.5000 0.0000
0.5000 0.0000 0.0000
0.5000 0.5000 0.5000
```

Most intense lines, 10 to 90 degrees two-theta, in order of falling intensity:
19.31°, rel. 100
44.04°, rel. 87
48.50°, rel. 75
30.75°, rel. 71
39.19°, rel. 60
36.56°, rel. 47
23.70°, rel. 44
77.72°, rel. 42
58.53°, rel. 24
50.62°, rel. 22